Entry 1:
# HoSe2O5
Computed PXRD pattern, Cu Kα (λ = 1.5418 Å). Input: a cell relaxed with PBE.
No peak broadening, texture or thermal motion is included.

Structure:
a = 7.317 Å, b = 10.694 Å, c = 6.870 Å
α = 90.00°, β = 90.00°, γ = 90.00°
Sites, in units of the cell vectors:
Ho1 0.000 0.067 0.250
Ho2 0.000 0.933 0.750
Ho3 0.500 0.433 0.750
Ho4 0.500 0.567 0.250
Se1 0.126 0.358 0.028
Se2 0.126 0.642 0.528
Se3 0.374 0.142 0.528
Se4 0.374 0.858 0.028
Se5 0.626 0.142 0.972
Se6 0.626 0.858 0.472
Se7 0.874 0.358 0.472
Se8 0.874 0.642 0.972
O1 0.000 0.430 0.250
O2 0.000 0.570 0.750
O3 0.157 0.066 0.538
O4 0.157 0.934 0.038
O5 0.178 0.219 0.140
O6 0.178 0.781 0.640
O7 0.322 0.281 0.640
O8 0.322 0.719 0.140
O9 0.343 0.434 0.038
O10 0.343 0.566 0.538
O11 0.500 0.070 0.750
O12 0.500 0.930 0.250
O13 0.657 0.434 0.462
O14 0.657 0.566 0.962
O15 0.678 0.281 0.860
O16 0.678 0.719 0.360
O17 0.822 0.219 0.360
O18 0.822 0.781 0.860
O19 0.843 0.066 0.962
O20 0.843 0.934 0.462

Principal peaks in the range 2θ = 10–90°, by angle:
2θ 14.7, I 52
2θ 19.6, I 82
2θ 24.3, I 100
2θ 27.8, I 36
2θ 28.9, I 52
2θ 29.9, I 98
2θ 30.8, I 75
2θ 35.9, I 32

Entry 2:
# HoSe2O8
Computed PXRD pattern, Cu Kα (λ = 1.5418 Å). Input: a cell relaxed with PBE.
No peak broadening, texture or thermal motion is included.

Structure:
a = 6.524 Å, b = 6.524 Å, c = 6.524 Å
α = 60.00°, β = 60.00°, γ = 60.00°
Sites, in units of the cell vectors:
Ho1 0.000 0.000 0.000
Se1 0.250 0.250 0.250
Se2 0.750 0.750 0.750
O1 0.146 0.146 0.146
O2 0.146 0.146 0.561
O3 0.146 0.561 0.146
O4 0.439 0.854 0.854
O5 0.561 0.146 0.146
O6 0.854 0.439 0.854
O7 0.854 0.854 0.439
O8 0.854 0.854 0.854

Principal peaks in the range 2θ = 10–90°, by angle:
2θ 16.6, I 75
2θ 27.3, I 100
2θ 32.2, I 16
2θ 42.7, I 28
2θ 48.3, I 37
2θ 56.4, I 19
2θ 63.8, I 15
2θ 77.4, I 21